Theoretical powder diffraction line list
Compound: ScBi3S6
Radiation: Cu Kα (weighted mean of Kα1 and Kα2)
Structure: a GGA-PBE-relaxed structure
Peak positions follow from Bragg's law for the DFT cell and can differ from measured ones.

Principal peaks in the range 10° ≤ 2θ ≤ 80°, low angle first:
4.759 Å, intensity 20, hkl 0 2 1; 4.476 Å, intensity 42, hkl 0 0 3; 3.698 Å, intensity 100, hkl 2 1 1; 3.561 Å, intensity 28, hkl 1 1 3; 3.338 Å, intensity 38, hkl 3 -2 2; 2.601 Å, intensity 36, hkl 4 -1 2; 2.529 Å, intensity 37, hkl 2 1 4; 2.221 Å, intensity 37, hkl 1 4 0; 2.091 Å, intensity 17, hkl 1 1 6; 1.990 Å, intensity 28, hkl 1 4 3

Cell and atoms:
```
data_ScBi3S6
_chemical_formula_sum 'Sc6 Bi18 S36'
_symmetry_space_group_name_H-M 'R -3'
_symmetry_Int_Tables_number 148
_symmetry_space_group_name_Hall '-R 3'
_cell_length_a 11.7528
_cell_length_b 11.7528
_cell_length_c 13.4280
_cell_angle_alpha 90.00
_cell_angle_beta 90.00
_cell_angle_gamma 120.00
loop_
_atom_site_label
_atom_site_type_symbol
_atom_site_fract_x
_atom_site_fract_y
_atom_site_fract_z
Sc1 Sc 0.0000 0.0000 0.0000
Sc2 Sc 0.0000 0.0000 0.5000
Bi1 Bi 0.0552 0.2657 0.2006
S1 S 0.0268 0.1999 0.3982
S2 S 0.0319 0.1888 0.8832
```

***

Theoretical powder diffraction line list
Compound: Sr3Zn6Cu5
Radiation: Cu Kα (weighted mean of Kα1 and Kα2)
Structure: a GGA-PBE-relaxed structure
Peak positions follow from Bragg's law for the DFT cell and can differ from measured ones.

Principal peaks in the range 10° ≤ 2θ ≤ 80°, low angle first:
2.690 Å, intensity 21, hkl 0 4 2; 2.581 Å, intensity 100, hkl 1 3 2; 2.566 Å, intensity 79, hkl 1 0 3; 2.387 Å, intensity 42, hkl 0 0 4; 2.233 Å, intensity 33, hkl 1 5 0; 2.171 Å, intensity 25, hkl 0 6 0; 2.169 Å, intensity 59, hkl 2 0 0; 2.023 Å, intensity 20, hkl 1 5 2; 2.015 Å, intensity 24, hkl 0 5 3; 1.657 Å, intensity 21, hkl 2 3 3

Cell and atoms:
```
data_Sr3Zn6Cu5
_chemical_formula_sum 'Sr6 Zn12 Cu10'
_symmetry_space_group_name_H-M 'P m m n'
_symmetry_Int_Tables_number 59
_cell_length_a 4.337
_cell_length_b 13.023
_cell_length_c 9.548
_cell_angle_alpha 90.00
_cell_angle_beta 90.00
_cell_angle_gamma 90.00
loop_
_symmetry_equiv_pos_as_xyz
'x,y,z'
'-x,-y,-z'
'-x+1/2,-y+1/2,z'
'x+1/2,y+1/2,-z'
'x+1/2,-y,-z'
'-x+1/2,y,z'
'-x,y+1/2,-z'
'x,-y+1/2,z'
loop_
_atom_site_label
_atom_site_type_symbol
_atom_site_fract_x
_atom_site_fract_y
_atom_site_fract_z
Sr1 Sr 0.250 0.056 0.244
Sr2 Sr 0.250 0.750 0.266
Zn1 Zn 0.250 0.070 0.584
Zn2 Zn 0.250 0.250 0.030
Zn3 Zn 0.250 0.250 0.448
Zn4 Zn 0.250 0.615 0.982
Cu1 Cu 0.250 0.087 0.881
Cu2 Cu 0.250 0.639 0.549
Cu3 Cu 0.250 0.750 0.774
```

***

Theoretical powder diffraction line list
Compound: RbAcSF2
Radiation: Cu Kα (weighted mean of Kα1 and Kα2)
Structure: a GGA-PBE-relaxed structure
Peak positions follow from Bragg's law for the DFT cell and can differ from measured ones.

Principal peaks in the range 10° ≤ 2θ ≤ 80°, low angle first:
5.882 Å, intensity 18, hkl 0 0 1; 4.905 Å, intensity 35, hkl 1 0 0; 3.767 Å, intensity 100, hkl 1 0 1; 3.468 Å, intensity 50, hkl 1 1 0; 2.941 Å, intensity 26, hkl 0 0 2; 2.452 Å, intensity 32, hkl 2 0 0; 2.243 Å, intensity 31, hkl 1 1 2; 2.055 Å, intensity 40, hkl 2 1 1; 1.884 Å, intensity 28, hkl 2 0 2; 1.821 Å, intensity 14, hkl 1 0 3

Cell and atoms:
```
data_RbAcSF2
_chemical_formula_sum 'Rb1 Ac1 S1 F2'
_symmetry_space_group_name_H-M 'P 4 m m'
_symmetry_Int_Tables_number 99
_cell_length_a 4.905
_cell_length_b 4.905
_cell_length_c 5.882
_cell_angle_alpha 90.00
_cell_angle_beta 90.00
_cell_angle_gamma 90.00
loop_
_symmetry_equiv_pos_as_xyz
'x,y,z'
'-y,x,z'
'-x,-y,z'
'y,-x,z'
'-x,y,z'
'y,x,z'
'x,-y,z'
'-y,-x,z'
loop_
_atom_site_label
_atom_site_type_symbol
_atom_site_fract_x
_atom_site_fract_y
_atom_site_fract_z
Rb1 Rb 0.000 0.000 0.000
Ac1 Ac 0.500 0.500 0.491
S1 S 0.500 0.500 0.990
F1 F 0.000 0.500 0.486
```

***

Theoretical powder diffraction line list
Compound: Y2Er3Cd2
Radiation: Cu Kα (weighted mean of Kα1 and Kα2)
Structure: a GGA-PBE-relaxed structure
Peak positions follow from Bragg's law for the DFT cell and can differ from measured ones.

Principal peaks in the range 10° ≤ 2θ ≤ 80°, low angle first:
2.740 Å, intensity 93, hkl 1 0 7; 2.675 Å, intensity 100, hkl 1 1 0; 2.217 Å, intensity 10, hkl 1 1 6; 1.914 Å, intensity 33, hkl 0 2 7; 1.595 Å, intensity 12, hkl 0 1 14; 1.557 Å, intensity 33, hkl 2 1 7; 1.544 Å, intensity 18, hkl 3 0 0; 1.337 Å, intensity 11, hkl 2 2 0; 1.219 Å, intensity 12, hkl 1 2 14; 1.202 Å, intensity 14, hkl 1 3 7

Cell and atoms:
```
data_Y2Er3Cd2
_chemical_formula_sum 'Y6 Er9 Cd6'
_symmetry_space_group_name_H-M 'R -3 m'
_symmetry_Int_Tables_number 166
_symmetry_space_group_name_Hall '-R 3 2"'
_cell_length_a 5.3496
_cell_length_b 5.3496
_cell_length_c 23.7910
_cell_angle_alpha 90.00
_cell_angle_beta 90.00
_cell_angle_gamma 120.00
loop_
_atom_site_label
_atom_site_type_symbol
_atom_site_fract_x
_atom_site_fract_y
_atom_site_fract_z
Y1 Y 0.0000 0.0000 0.0750
Er1 Er 0.0000 0.0000 0.3437
Er2 Er 0.0000 0.0000 0.5000
Cd1 Cd 0.0000 0.0000 0.2121
```

***

Theoretical powder diffraction line list
Compound: Tl4Sb
Radiation: Cu Kα (weighted mean of Kα1 and Kα2)
Structure: a GGA-PBE-relaxed structure
Peak positions follow from Bragg's law for the DFT cell and can differ from measured ones.

Principal peaks in the range 10° ≤ 2θ ≤ 80°, low angle first:
2.882 Å, intensity 100, hkl 1 1 -2; 2.850 Å, intensity 97, hkl 3 1 -1; 2.659 Å, intensity 40, hkl 2 0 1; 2.607 Å, intensity 38, hkl 4 0 -3; 2.245 Å, intensity 25, hkl 0 2 0; 1.715 Å, intensity 23, hkl 2 2 1; 1.701 Å, intensity 22, hkl 4 2 -3; 1.580 Å, intensity 17, hkl 1 1 3; 1.564 Å, intensity 16, hkl 5 1 0; 1.543 Å, intensity 16, hkl 7 1 -4

Cell and atoms:
```
data_Tl4Sb
_chemical_formula_sum 'Tl8 Sb2'
_symmetry_space_group_name_H-M 'C 1 2/m 1'
_symmetry_Int_Tables_number 12
_cell_length_a 11.618
_cell_length_b 4.489
_cell_length_c 8.310
_cell_angle_alpha 90.00
_cell_angle_beta 134.10
_cell_angle_gamma 90.00
loop_
_symmetry_equiv_pos_as_xyz
'x,y,z'
'-x,-y,-z'
'-x,y,-z'
'x,-y,z'
'x+1/2,y+1/2,z'
'-x+1/2,-y+1/2,-z'
'-x+1/2,y+1/2,-z'
'x+1/2,-y+1/2,z'
loop_
_atom_site_label
_atom_site_type_symbol
_atom_site_fract_x
_atom_site_fract_y
_atom_site_fract_z
Tl1 Tl 0.094 0.000 0.307
Tl2 Tl 0.210 0.500 0.117
Sb1 Sb 0.000 0.500 0.500
```

***

Repeat the fifth record exactly.
Theoretical powder diffraction line list
Compound: Tl4Sb
Radiation: Cu Kα (weighted mean of Kα1 and Kα2)
Structure: a GGA-PBE-relaxed structure
Peak positions follow from Bragg's law for the DFT cell and can differ from measured ones.

Principal peaks in the range 10° ≤ 2θ ≤ 80°, low angle first:
2.882 Å, intensity 100, hkl 1 1 -2; 2.850 Å, intensity 97, hkl 3 1 -1; 2.659 Å, intensity 40, hkl 2 0 1; 2.607 Å, intensity 38, hkl 4 0 -3; 2.245 Å, intensity 25, hkl 0 2 0; 1.715 Å, intensity 23, hkl 2 2 1; 1.701 Å, intensity 22, hkl 4 2 -3; 1.580 Å, intensity 17, hkl 1 1 3; 1.564 Å, intensity 16, hkl 5 1 0; 1.543 Å, intensity 16, hkl 7 1 -4

Cell and atoms:
```
data_Tl4Sb
_chemical_formula_sum 'Tl8 Sb2'
_symmetry_space_group_name_H-M 'C 1 2/m 1'
_symmetry_Int_Tables_number 12
_cell_length_a 11.618
_cell_length_b 4.489
_cell_length_c 8.310
_cell_angle_alpha 90.00
_cell_angle_beta 134.10
_cell_angle_gamma 90.00
loop_
_symmetry_equiv_pos_as_xyz
'x,y,z'
'-x,-y,-z'
'-x,y,-z'
'x,-y,z'
'x+1/2,y+1/2,z'
'-x+1/2,-y+1/2,-z'
'-x+1/2,y+1/2,-z'
'x+1/2,-y+1/2,z'
loop_
_atom_site_label
_atom_site_type_symbol
_atom_site_fract_x
_atom_site_fract_y
_atom_site_fract_z
Tl1 Tl 0.094 0.000 0.307
Tl2 Tl 0.210 0.500 0.117
Sb1 Sb 0.000 0.500 0.500
```

***

Which formula does entry 5 have? Tl4Sb